No. 1
Computed powder XRD pattern of Mg3Ag4Hg2 for Cu Kα (weighted mean of Kα1 and Kα2), from a PBE-relaxed structure.
Peak positions follow from Bragg's law for the DFT cell and can differ from measured ones.

The 12 most intense peaks (2θ from 10° to 90°), by intensity:
two_theta	Rel. int.
38.4	100
35.1	64
36.7	58
36.4	57
27.0	42
44.5	36
44.7	31
21.5	29
21.6	28
67.4	20
65.2	20
33.0	19

```
data_Mg3Ag4Hg2
_chemical_formula_sum 'Mg6 Ag8 Hg4'
_symmetry_space_group_name_H-M 'P 1'
_symmetry_Int_Tables_number 1
_cell_length_a 8.5504
_cell_length_b 8.5504
_cell_length_c 5.0495
_cell_angle_alpha 96.54
_cell_angle_beta 96.54
_cell_angle_gamma 73.44
loop_
_symmetry_equiv_pos_as_xyz
'x,y,z'
loop_
_atom_site_label
_atom_site_type_symbol
_atom_site_fract_x
_atom_site_fract_y
_atom_site_fract_z
Mg1 Mg 0.1250 0.8750 0.7500
Mg2 Mg 0.2141 0.4651 0.9150
Mg3 Mg 0.4651 0.2141 0.4150
Mg4 Mg 0.5349 0.7859 0.5850
Mg5 Mg 0.7859 0.5349 0.0850
Mg6 Mg 0.8750 0.1250 0.2500
Ag1 Ag 0.0244 0.7633 0.1992
Ag2 Ag 0.2367 0.9756 0.3008
Ag3 Ag 0.3245 0.5686 0.4731
Ag4 Ag 0.4314 0.6755 0.0269
Ag5 Ag 0.5686 0.3245 0.9731
Ag6 Ag 0.6755 0.4314 0.5269
Ag7 Ag 0.7633 0.0244 0.6992
Ag8 Ag 0.9756 0.2367 0.8008
Hg1 Hg 0.1028 0.3436 0.3508
Hg2 Hg 0.3436 0.1028 0.8508
Hg3 Hg 0.6564 0.8972 0.1492
Hg4 Hg 0.8972 0.6564 0.6492
```

=====

No. 2
Computed powder XRD pattern of Mg11Ag9Hg4 for Cu Kα (weighted mean of Kα1 and Kα2), from a PBE-relaxed structure.
Peak positions follow from Bragg's law for the DFT cell and can differ from measured ones.

The 12 most intense peaks (2θ from 10° to 90°), by intensity:
two_theta	Rel. int.
37.1	100
37.9	99
26.7	91
37.5	82
26.3	64
46.3	55
25.7	49
68.3	33
40.1	29
54.1	23
55.1	23
29.3	21

```
data_Mg11Ag9Hg4
_chemical_formula_sum 'Mg11 Ag9 Hg4'
_symmetry_space_group_name_H-M 'P 1'
_symmetry_Int_Tables_number 1
_cell_length_a 12.3008
_cell_length_b 12.3008
_cell_length_c 3.3329
_cell_angle_alpha 90.00
_cell_angle_beta 90.00
_cell_angle_gamma 111.51
loop_
_symmetry_equiv_pos_as_xyz
'x,y,z'
loop_
_atom_site_label
_atom_site_type_symbol
_atom_site_fract_x
_atom_site_fract_y
_atom_site_fract_z
Mg1 Mg 0.0000 0.0000 0.0000
Mg2 Mg 0.0543 0.4062 0.0000
Mg3 Mg 0.1752 0.8248 0.0000
Mg4 Mg 0.2289 0.2289 0.0000
Mg5 Mg 0.3525 0.6475 0.0000
Mg6 Mg 0.4062 0.0543 0.0000
Mg7 Mg 0.5938 0.9457 0.0000
Mg8 Mg 0.6475 0.3525 0.0000
Mg9 Mg 0.7711 0.7711 0.0000
Mg10 Mg 0.8248 0.1752 0.0000
Mg11 Mg 0.9457 0.5938 0.0000
Ag1 Ag 0.0259 0.2016 0.5000
Ag2 Ag 0.1458 0.6233 0.5000
Ag3 Ag 0.2016 0.0259 0.5000
Ag4 Ag 0.3767 0.8542 0.5000
Ag5 Ag 0.5000 0.5000 0.5000
Ag6 Ag 0.6233 0.1458 0.5000
Ag7 Ag 0.7984 0.9741 0.5000
Ag8 Ag 0.8542 0.3767 0.5000
Ag9 Ag 0.9741 0.7984 0.5000
Hg1 Hg 0.2547 0.4341 0.5000
Hg2 Hg 0.4341 0.2547 0.5000
Hg3 Hg 0.5659 0.7453 0.5000
Hg4 Hg 0.7453 0.5659 0.5000
```

=====

No. 3
Computed powder XRD pattern of Mg3Ag6Hg2 for Cu Kα (weighted mean of Kα1 and Kα2), from a PBE-relaxed structure.
Peak positions follow from Bragg's law for the DFT cell and can differ from measured ones.

The 12 most intense peaks (2θ from 10° to 90°), by intensity:
two_theta	Rel. int.
36.9	100
36.7	51
37.0	49
41.8	35
42.3	34
62.9	30
44.3	30
27.8	14
73.9	12
19.1	12
24.4	12
76.9	11

```
data_Mg3Ag6Hg2
_chemical_formula_sum 'Mg3 Ag6 Hg2'
_symmetry_space_group_name_H-M 'P 1'
_symmetry_Int_Tables_number 1
_cell_length_a 4.0860
_cell_length_b 5.2122
_cell_length_c 10.9152
_cell_angle_alpha 76.42
_cell_angle_beta 89.84
_cell_angle_gamma 67.31
loop_
_symmetry_equiv_pos_as_xyz
'x,y,z'
loop_
_atom_site_label
_atom_site_type_symbol
_atom_site_fract_x
_atom_site_fract_y
_atom_site_fract_z
Mg1 Mg 0.0000 0.0000 0.0000
Mg2 Mg 0.0946 0.8093 0.6410
Mg3 Mg 0.9054 0.1907 0.3590
Ag1 Ag 0.2740 0.4510 0.9129
Ag2 Ag 0.3686 0.2621 0.5421
Ag3 Ag 0.4498 0.0995 0.1773
Ag4 Ag 0.5502 0.9005 0.8227
Ag5 Ag 0.6314 0.7379 0.4579
Ag6 Ag 0.7260 0.5490 0.0871
Hg1 Hg 0.1785 0.6430 0.2733
Hg2 Hg 0.8215 0.3570 0.7267
```

=====

No. 4
Computed powder XRD pattern of Mg6AgHg5 for Cu Kα (weighted mean of Kα1 and Kα2), from a PBE-relaxed structure.
Peak positions follow from Bragg's law for the DFT cell and can differ from measured ones.

The 12 most intense peaks (2θ from 10° to 90°), by intensity:
two_theta	Rel. int.
36.3	100
36.4	99
24.7	77
26.1	65
26.3	64
37.5	46
37.4	45
45.3	31
45.4	31
57.9	30
50.6	19
64.7	19

```
data_Mg6AgHg5
_chemical_formula_sum 'Mg6 Ag1 Hg5'
_symmetry_space_group_name_H-M 'P 1'
_symmetry_Int_Tables_number 1
_cell_length_a 4.7989
_cell_length_b 7.2114
_cell_length_c 7.5915
_cell_angle_alpha 90.00
_cell_angle_beta 108.08
_cell_angle_gamma 90.00
loop_
_symmetry_equiv_pos_as_xyz
'x,y,z'
loop_
_atom_site_label
_atom_site_type_symbol
_atom_site_fract_x
_atom_site_fract_y
_atom_site_fract_z
Mg1 Mg 0.0000 0.2494 0.0000
Mg2 Mg 0.0000 0.7506 0.0000
Mg3 Mg 0.3355 0.2570 0.6682
Mg4 Mg 0.3355 0.7430 0.6682
Mg5 Mg 0.6645 0.2570 0.3318
Mg6 Mg 0.6645 0.7430 0.3318
Ag1 Ag 0.5000 0.5000 0.0000
Hg1 Hg 0.1582 0.5000 0.3185
Hg2 Hg 0.1681 0.0000 0.3374
Hg3 Hg 0.5000 0.0000 0.0000
Hg4 Hg 0.8319 0.0000 0.6626
Hg5 Hg 0.8418 0.5000 0.6815
```